Entry 1:
Calculated powder X-ray diffraction pattern
Compound: Tm2NiSn2C3
Radiation: Cu Kα
Structure: DFT lattice parameters and positions (PBE)
Lines closer than 0.1° are merged.

Peak list (6 most intense, 5 to 70 degrees two-theta, low angle first)
h k l	Position (°2θ)	Rel. int.
1 0 1	30.70	43
1 0 2	33.42	100
0 1 3	37.58	57
0 1 4	42.81	17
1 1 0	52.78	37
0 2 2	63.93	16

Atomic structure:
```
data_Tm2NiSn2C3
_chemical_formula_sum 'Tm2 Ni1 Sn2 C3'
_symmetry_space_group_name_H-M 'P 3 m 1'
_symmetry_Int_Tables_number 156
_cell_length_a 3.4687
_cell_length_b 3.4687
_cell_length_c 11.8851
_cell_angle_alpha 90.00
_cell_angle_beta 90.00
_cell_angle_gamma 120.00
loop_
_symmetry_equiv_pos_as_xyz
'x,y,z'
'-y,x-y,z'
'-x+y,-x,z'
'-y,-x,z'
'-x+y,y,z'
'x,x-y,z'
loop_
_atom_site_label
_atom_site_type_symbol
_atom_site_fract_x
_atom_site_fract_y
_atom_site_fract_z
_atom_site_occupancy
Tm1 Tm 0.0000 0.0000 0.0000 1
Tm2 Tm 0.3333 0.6667 0.4449 1
Ni1 Ni 0.0000 0.0000 0.6207 1
Sn1 Sn 0.6667 0.3333 0.2260 1
Sn2 Sn 0.6667 0.3333 0.7701 1
C1 C 0.0000 0.0000 0.3485 1
C2 C 0.3333 0.6667 0.1222 1
C3 C 0.3333 0.6667 0.8670 1
```



Entry 2:
Calculated powder X-ray diffraction pattern
Compound: Sn10OsSe10
Radiation: Cu Kα
Structure: DFT lattice parameters and positions (PBE)
Lines closer than 0.1° are merged.

Peak list (6 most intense, 5 to 70 degrees two-theta, low angle first)
h k l	Position (°2θ)	Rel. int.
2 2 0	21.38	34
2 1 2	27.19	100
1 4 0	31.30	69
3 1 2	32.19	57
0 0 4	43.07	37
1 5 2	44.76	58

Atomic structure:
```
data_Sn10OsSe10
_chemical_formula_sum 'Sn20 Os2 Se20'
_symmetry_space_group_name_H-M 'P b a m'
_symmetry_Int_Tables_number 55
_cell_length_a 11.7243
_cell_length_b 11.7859
_cell_length_c 8.4015
_cell_angle_alpha 90.00
_cell_angle_beta 90.00
_cell_angle_gamma 90.00
loop_
_symmetry_equiv_pos_as_xyz
'x,y,z'
'-x,-y,-z'
'-x,-y,z'
'x,y,-z'
'x+1/2,-y+1/2,-z'
'-x+1/2,y+1/2,z'
'-x+1/2,y+1/2,-z'
'x+1/2,-y+1/2,z'
loop_
_atom_site_label
_atom_site_type_symbol
_atom_site_fract_x
_atom_site_fract_y
_atom_site_fract_z
_atom_site_occupancy
Sn1 Sn 0.0000 0.0000 0.2466 1
Sn2 Sn 0.1259 0.4103 0.2634 1
Sn3 Sn 0.1355 0.6768 0.5000 1
Sn4 Sn 0.2324 0.6857 0.0000 1
Os1 Os 0.0000 0.5000 0.5000 1
Se1 Se 0.0025 0.3212 0.0000 1
Se2 Se 0.1355 0.9025 0.5000 1
Se3 Se 0.1778 0.1817 0.3072 1
Se4 Se 0.2076 0.9496 0.0000 1
```



Entry 3:
Calculated powder X-ray diffraction pattern
Compound: Ho2ReC2
Radiation: Cu Kα
Structure: DFT lattice parameters and positions (PBE)
Lines closer than 0.1° are merged.

Peak list (6 most intense, 5 to 70 degrees two-theta, low angle first)
h k l	Position (°2θ)	Rel. int.
0 1 3	32.53	94
2 0 2	32.86	22
2 1 1	33.80	82
0 2 0	35.35	100
3 1 4	59.48	28
2 3 1	62.45	21

Atomic structure:
```
data_Ho2ReC2
_chemical_formula_sum 'Ho8 Re4 C8'
_symmetry_space_group_name_H-M 'P n m a'
_symmetry_Int_Tables_number 62
_cell_length_a 6.5552
_cell_length_b 5.0811
_cell_length_c 9.8188
_cell_angle_alpha 90.00
_cell_angle_beta 90.00
_cell_angle_gamma 90.00
loop_
_symmetry_equiv_pos_as_xyz
'x,y,z'
'-x,-y,-z'
'-x+1/2,-y,z+1/2'
'x+1/2,y,-z+1/2'
'x+1/2,-y+1/2,-z+1/2'
'-x+1/2,y+1/2,z+1/2'
'-x,y+1/2,-z'
'x,-y+1/2,z'
loop_
_atom_site_label
_atom_site_type_symbol
_atom_site_fract_x
_atom_site_fract_y
_atom_site_fract_z
_atom_site_occupancy
Ho1 Ho 0.0313 0.2500 0.2165 1
Ho2 Ho 0.1803 0.2500 0.5561 1
Re1 Re 0.2217 0.2500 0.8666 1
C1 C 0.0448 0.7500 0.2408 1
C2 C 0.1761 0.7500 0.5513 1
```



Entry 4:
Calculated powder X-ray diffraction pattern
Compound: Te2WSe2Br
Radiation: Cu Kα
Structure: DFT lattice parameters and positions (PBE)
Lines closer than 0.1° are merged.

Peak list (6 most intense, 5 to 70 degrees two-theta, low angle first)
h k l	Position (°2θ)	Rel. int.
0 1 -1	12.52	100
0 0 1	12.88	88
0 1 0	12.98	69
-1 2 1	32.39	36
2 -2 1	33.75	28
1 2 -3	34.27	22

Atomic structure:
```
data_Te2WSe2Br
_chemical_formula_sum 'Te4 W2 Se4 Br2'
_symmetry_space_group_name_H-M 'P -1'
_symmetry_Int_Tables_number 2
_cell_length_a 6.6622
_cell_length_b 8.1579
_cell_length_c 8.3647
_cell_angle_alpha 117.97
_cell_angle_beta 104.09
_cell_angle_gamma 99.37
loop_
_symmetry_equiv_pos_as_xyz
'x,y,z'
'-x,-y,-z'
loop_
_atom_site_label
_atom_site_type_symbol
_atom_site_fract_x
_atom_site_fract_y
_atom_site_fract_z
_atom_site_occupancy
Te1 Te 0.0528 0.2645 0.4986 1
Te2 Te 0.1173 0.1126 0.8116 1
W1 W 0.2851 0.9996 0.5003 1
Se1 Se 0.3751 0.6921 0.2895 1
Se2 Se 0.4841 0.1546 0.3514 1
Br1 Br 0.2492 0.6376 0.9161 1
```



Entry 5:
Calculated powder X-ray diffraction pattern
Compound: GaAuI2Br2
Radiation: Cu Kα
Structure: DFT lattice parameters and positions (PBE)
Lines closer than 0.1° are merged.

Peak list (6 most intense, 5 to 70 degrees two-theta, low angle first)
h k l	Position (°2θ)	Rel. int.
1 0 1	16.07	100
1 1 0	24.27	39
1 -1 1	24.87	29
-1 1 1	25.20	65
1 1 2	25.46	67
0 2 3	42.83	28

Atomic structure:
```
data_GaAuI2Br2
_chemical_formula_sum 'Ga1 Au1 I2 Br2'
_symmetry_space_group_name_H-M 'P 1'
_symmetry_Int_Tables_number 1
_cell_length_a 6.3449
_cell_length_b 6.3866
_cell_length_c 7.2332
_cell_angle_alpha 65.75
_cell_angle_beta 64.97
_cell_angle_gamma 89.36
loop_
_symmetry_equiv_pos_as_xyz
'x,y,z'
loop_
_atom_site_label
_atom_site_type_symbol
_atom_site_fract_x
_atom_site_fract_y
_atom_site_fract_z
_atom_site_occupancy
Ga1 Ga 0.0000 0.0000 0.0000 1
Au1 Au 0.6577 0.2392 0.4908 1
I1 I 0.3452 0.8380 0.7740 1
I2 I 0.6227 0.6637 0.2390 1
Br1 Br 0.0946 0.0989 0.2411 1
Br2 Br 0.9060 0.3186 0.7551 1
```



Entry 6:
Calculated powder X-ray diffraction pattern
Compound: Zr2Co21B6
Radiation: Cu Kα
Structure: DFT lattice parameters and positions (PBE)
Lines closer than 0.1° are merged.

Peak list (6 most intense, 5 to 70 degrees two-theta, low angle first)
h k l	Position (°2θ)	Rel. int.
4 2 0	38.02	40
4 2 2	41.81	39
3 3 3	44.48	100
4 4 0	48.66	24
5 3 1	51.05	25
6 2 2	57.78	11

Atomic structure:
```
data_Zr2Co21B6
_chemical_formula_sum 'Zr8 Co84 B24'
_symmetry_space_group_name_H-M 'F m -3 m'
_symmetry_Int_Tables_number 225
_symmetry_space_group_name_Hall '-F 4 2 3'
_cell_length_a 10.5849
_cell_length_b 10.5849
_cell_length_c 10.5849
_cell_angle_alpha 90.00
_cell_angle_beta 90.00
_cell_angle_gamma 90.00
loop_
_atom_site_label
_atom_site_type_symbol
_atom_site_fract_x
_atom_site_fract_y
_atom_site_fract_z
_atom_site_occupancy
Zr1 Zr 0.2500 0.2500 0.2500 1
Co1 Co 0.0000 0.0000 0.0000 1
Co2 Co 0.0000 0.1683 0.1683 1
Co3 Co 0.1138 0.1138 0.3862 1
B1 B 0.0000 0.0000 0.2735 1
```



Entry 7:
Calculated powder X-ray diffraction pattern
Compound: GdSnPt
Radiation: Cu Kα
Structure: DFT lattice parameters and positions (PBE)
Lines closer than 0.1° are merged.

Peak list (6 most intense, 5 to 70 degrees two-theta, low angle first)
h k l	Position (°2θ)	Rel. int.
1 1 1	32.44	79
2 0 1	35.32	100
2 1 0	36.53	33
3 0 0	41.63	45
2 1 1	42.97	39
3 2 1	66.74	34

Atomic structure:
```
data_GdSnPt
_chemical_formula_sum 'Gd3 Sn3 Pt3'
_symmetry_space_group_name_H-M 'P -6 2 m'
_symmetry_Int_Tables_number 189
_symmetry_space_group_name_Hall 'P -6 -2'
_cell_length_a 7.5150
_cell_length_b 7.5150
_cell_length_c 4.0674
_cell_angle_alpha 90.00
_cell_angle_beta 90.00
_cell_angle_gamma 120.00
loop_
_atom_site_label
_atom_site_type_symbol
_atom_site_fract_x
_atom_site_fract_y
_atom_site_fract_z
_atom_site_occupancy
Gd1 Gd 0.0000 0.5921 0.0000 1
Sn1 Sn 0.0000 0.2567 0.5000 1
Pt1 Pt 0.0000 0.0000 0.0000 1
Pt2 Pt 0.3333 0.6667 0.5000 1
```